Theoretical X-ray diffraction stick pattern
Compound: Mg4Cu11O15
Radiation: a wavelength of 1.5418 Å
Structure: the GGA-PBE geometry in the Materials Project

Cell and atoms:
```
data_Mg4Cu11O15
_chemical_formula_sum 'Mg8 Cu22 O30'
_symmetry_space_group_name_H-M 'P m m 2'
_symmetry_Int_Tables_number 25
_cell_length_a 4.0344
_cell_length_b 9.5638
_cell_length_c 16.2864
_cell_angle_alpha 90.00
_cell_angle_beta 90.00
_cell_angle_gamma 90.00
loop_
_symmetry_equiv_pos_as_xyz
'x,y,z'
'-x,-y,z'
'-x,y,z'
'x,-y,z'
loop_
_atom_site_label
_atom_site_type_symbol
_atom_site_fract_x
_atom_site_fract_y
_atom_site_fract_z
Mg1 Mg 0.0000 0.0000 0.0000
Mg2 Mg 0.0000 0.0000 0.2001
Mg3 Mg 0.0000 0.0000 0.4002
Mg4 Mg 0.0000 0.0000 0.5999
Mg5 Mg 0.0000 0.0000 0.7999
Mg6 Mg 0.5000 0.5000 0.0382
Mg7 Mg 0.5000 0.5000 0.2387
Mg8 Mg 0.5000 0.5000 0.4398
Cu1 Cu 0.0000 0.3364 0.5503
Cu2 Cu 0.0000 0.3359 0.7510
Cu3 Cu 0.0000 0.3357 0.9502
Cu4 Cu 0.0000 0.3367 0.1492
Cu5 Cu 0.0000 0.3367 0.3496
Cu6 Cu 0.5000 0.1633 0.2895
Cu7 Cu 0.5000 0.1633 0.4877
Cu8 Cu 0.5000 0.1630 0.6881
Cu9 Cu 0.5000 0.1628 0.8891
Cu10 Cu 0.5000 0.1636 0.0892
Cu11 Cu 0.5000 0.5000 0.6411
Cu12 Cu 0.5000 0.5000 0.8406
O1 O 0.0000 0.1511 0.1017
O2 O 0.0000 0.1514 0.3018
O3 O 0.0000 0.1510 0.9017
O4 O 0.0000 0.1518 0.5020
O5 O 0.0000 0.1518 0.7023
O6 O 0.0000 0.5000 0.0161
O7 O 0.0000 0.5000 0.2161
O8 O 0.0000 0.5000 0.4161
O9 O 0.0000 0.5000 0.6155
O10 O 0.0000 0.5000 0.8157
O11 O 0.5000 0.0000 0.0224
O12 O 0.5000 0.0000 0.2226
O13 O 0.5000 0.0000 0.4208
O14 O 0.5000 0.0000 0.6208
O15 O 0.5000 0.0000 0.8218
O16 O 0.5000 0.3454 0.7373
O17 O 0.5000 0.3463 0.5364
O18 O 0.5000 0.3463 0.9386
O19 O 0.5000 0.3490 0.1371
O20 O 0.5000 0.3488 0.3372
```

Principal peaks in the range 2θ = 5–70°, in order of rising 2θ:
index	Position (°2θ)	I/Imax
0 2 5	33.28	61
1 0 5	35.42	86
1 3 0	35.90	92
0 3 5	39.56	100
2 0 0	44.94	74
2 3 5	61.39	54


Theoretical X-ray diffraction stick pattern
Compound: BaMg14Zn
Radiation: a wavelength of 1.5418 Å
Structure: the GGA-PBE geometry in the Materials Project

Cell and atoms:
```
data_BaMg14Zn
_chemical_formula_sum 'Ba2 Mg28 Zn2'
_symmetry_space_group_name_H-M 'A m m 2'
_symmetry_Int_Tables_number 38
_cell_length_a 10.5297
_cell_length_b 6.4736
_cell_length_c 11.6624
_cell_angle_alpha 90.00
_cell_angle_beta 90.00
_cell_angle_gamma 90.00
loop_
_symmetry_equiv_pos_as_xyz
'x,y,z'
'-x,-y,z'
'-x,y,z'
'x,-y,z'
'x,y+1/2,z+1/2'
'-x,-y+1/2,z+1/2'
'-x,y+1/2,z+1/2'
'x,-y+1/2,z+1/2'
loop_
_atom_site_label
_atom_site_type_symbol
_atom_site_fract_x
_atom_site_fract_y
_atom_site_fract_z
Ba1 Ba 0.0000 0.0000 0.0000
Mg1 Mg 0.0000 0.2411 0.2503
Mg2 Mg 0.2349 0.0000 0.6455
Mg3 Mg 0.2630 0.2421 0.3980
Mg4 Mg 0.2682 0.0000 0.1595
Mg5 Mg 0.5000 0.0000 0.4887
Mg6 Mg 0.5000 0.0000 0.9855
Mg7 Mg 0.5000 0.2444 0.7361
Zn1 Zn 0.0000 0.0000 0.4558
```

Principal peaks in the range 2θ = 5–70°, in order of rising 2θ:
index	Position (°2θ)	I/Imax
1 0 0	8.40	63
1 0 2	17.38	27
0 2 2	31.61	31
4 0 0	34.06	39
2 0 4	35.19	53
2 2 2	36.03	100


Theoretical X-ray diffraction stick pattern
Compound: NiP2W
Radiation: a wavelength of 1.5418 Å
Structure: the GGA-PBE geometry in the Materials Project

Cell and atoms:
```
data_NiP2W
_chemical_formula_sum 'Ni2 P4 W2'
_symmetry_space_group_name_H-M 'P 63/m m c'
_symmetry_Int_Tables_number 194
_symmetry_space_group_name_Hall '-P 6c 2c'
_cell_length_a 3.3483
_cell_length_b 3.3483
_cell_length_c 11.2516
_cell_angle_alpha 90.00
_cell_angle_beta 90.00
_cell_angle_gamma 120.00
loop_
_atom_site_label
_atom_site_type_symbol
_atom_site_fract_x
_atom_site_fract_y
_atom_site_fract_z
Ni1 Ni 0.0000 0.0000 0.0000
P1 P 0.3333 0.6667 0.1131
W1 W 0.0000 0.0000 0.2500
```

Principal peaks in the range 2θ = 5–70°, in order of rising 2θ:
index	Position (°2θ)	I/Imax
0 0 2	15.75	33
1 0 0	30.84	86
0 0 4	31.82	24
1 0 2	34.81	39
1 0 4	44.89	100
1 1 0	54.84	34


Theoretical X-ray diffraction stick pattern
Compound: PrIn5Co
Radiation: a wavelength of 1.5418 Å
Structure: the GGA-PBE geometry in the Materials Project

Cell and atoms:
```
data_PrIn5Co
_chemical_formula_sum 'Pr1 In5 Co1'
_symmetry_space_group_name_H-M 'P 4/m m m'
_symmetry_Int_Tables_number 123
_symmetry_space_group_name_Hall '-P 4 2'
_cell_length_a 4.6507
_cell_length_b 4.6507
_cell_length_c 7.6024
_cell_angle_alpha 90.00
_cell_angle_beta 90.00
_cell_angle_gamma 90.00
loop_
_atom_site_label
_atom_site_type_symbol
_atom_site_fract_x
_atom_site_fract_y
_atom_site_fract_z
Pr1 Pr 0.0000 0.0000 0.0000
In1 In 0.0000 0.5000 0.3093
In2 In 0.5000 0.5000 0.0000
Co1 Co 0.0000 0.0000 0.5000
```

Principal peaks in the range 2θ = 5–70°, in order of rising 2θ:
index	Position (°2θ)	I/Imax
1 1 1	29.60	52
1 1 2	36.12	100
2 0 0	38.72	58
2 0 3	53.48	27
1 1 5	67.94	27
3 1 2	68.40	29


Theoretical X-ray diffraction stick pattern
Compound: LiMgAsO4
Radiation: a wavelength of 1.5418 Å
Structure: the GGA-PBE geometry in the Materials Project

Cell and atoms:
```
data_LiMgAsO4
_chemical_formula_sum 'Li4 Mg4 As4 O16'
_symmetry_space_group_name_H-M 'P n m a'
_symmetry_Int_Tables_number 62
_cell_length_a 10.5793
_cell_length_b 6.0508
_cell_length_c 4.9466
_cell_angle_alpha 90.00
_cell_angle_beta 90.00
_cell_angle_gamma 90.00
loop_
_symmetry_equiv_pos_as_xyz
'x,y,z'
'-x,-y,-z'
'-x+1/2,-y,z+1/2'
'x+1/2,y,-z+1/2'
'x+1/2,-y+1/2,-z+1/2'
'-x+1/2,y+1/2,z+1/2'
'-x,y+1/2,-z'
'x,-y+1/2,z'
loop_
_atom_site_label
_atom_site_type_symbol
_atom_site_fract_x
_atom_site_fract_y
_atom_site_fract_z
Li1 Li 0.0000 0.0000 0.0000
Mg1 Mg 0.2252 0.2500 0.4939
As1 As 0.0943 0.7500 0.4349
O1 O 0.0550 0.2500 0.7035
O2 O 0.0981 0.7500 0.7801
O3 O 0.1711 0.5310 0.2783
```

Principal peaks in the range 2θ = 5–70°, in order of rising 2θ:
index	Position (°2θ)	I/Imax
1 0 1	19.81	93
2 1 0	22.32	100
0 2 0	29.53	44
3 1 1	34.58	83
1 2 1	35.81	47
1 1 2	40.31	27


What did the first record say?
Theoretical X-ray diffraction stick pattern
Compound: Mg4Cu11O15
Radiation: a wavelength of 1.5418 Å
Structure: the GGA-PBE geometry in the Materials Project

Cell and atoms:
```
data_Mg4Cu11O15
_chemical_formula_sum 'Mg8 Cu22 O30'
_symmetry_space_group_name_H-M 'P m m 2'
_symmetry_Int_Tables_number 25
_cell_length_a 4.0344
_cell_length_b 9.5638
_cell_length_c 16.2864
_cell_angle_alpha 90.00
_cell_angle_beta 90.00
_cell_angle_gamma 90.00
loop_
_symmetry_equiv_pos_as_xyz
'x,y,z'
'-x,-y,z'
'-x,y,z'
'x,-y,z'
loop_
_atom_site_label
_atom_site_type_symbol
_atom_site_fract_x
_atom_site_fract_y
_atom_site_fract_z
Mg1 Mg 0.0000 0.0000 0.0000
Mg2 Mg 0.0000 0.0000 0.2001
Mg3 Mg 0.0000 0.0000 0.4002
Mg4 Mg 0.0000 0.0000 0.5999
Mg5 Mg 0.0000 0.0000 0.7999
Mg6 Mg 0.5000 0.5000 0.0382
Mg7 Mg 0.5000 0.5000 0.2387
Mg8 Mg 0.5000 0.5000 0.4398
Cu1 Cu 0.0000 0.3364 0.5503
Cu2 Cu 0.0000 0.3359 0.7510
Cu3 Cu 0.0000 0.3357 0.9502
Cu4 Cu 0.0000 0.3367 0.1492
Cu5 Cu 0.0000 0.3367 0.3496
Cu6 Cu 0.5000 0.1633 0.2895
Cu7 Cu 0.5000 0.1633 0.4877
Cu8 Cu 0.5000 0.1630 0.6881
Cu9 Cu 0.5000 0.1628 0.8891
Cu10 Cu 0.5000 0.1636 0.0892
Cu11 Cu 0.5000 0.5000 0.6411
Cu12 Cu 0.5000 0.5000 0.8406
O1 O 0.0000 0.1511 0.1017
O2 O 0.0000 0.1514 0.3018
O3 O 0.0000 0.1510 0.9017
O4 O 0.0000 0.1518 0.5020
O5 O 0.0000 0.1518 0.7023
O6 O 0.0000 0.5000 0.0161
O7 O 0.0000 0.5000 0.2161
O8 O 0.0000 0.5000 0.4161
O9 O 0.0000 0.5000 0.6155
O10 O 0.0000 0.5000 0.8157
O11 O 0.5000 0.0000 0.0224
O12 O 0.5000 0.0000 0.2226
O13 O 0.5000 0.0000 0.4208
O14 O 0.5000 0.0000 0.6208
O15 O 0.5000 0.0000 0.8218
O16 O 0.5000 0.3454 0.7373
O17 O 0.5000 0.3463 0.5364
O18 O 0.5000 0.3463 0.9386
O19 O 0.5000 0.3490 0.1371
O20 O 0.5000 0.3488 0.3372
```

Principal peaks in the range 2θ = 5–70°, in order of rising 2θ:
index	Position (°2θ)	I/Imax
0 2 5	33.28	61
1 0 5	35.42	86
1 3 0	35.90	92
0 3 5	39.56	100
2 0 0	44.94	74
2 3 5	61.39	54


> Number 3 is which compound?

NiP2W